Calculated powder diffractogram of SmNiH8Rh2 for Cu Kα X-rays, from a GGA-PBE-relaxed structure.

Cell and atoms:
Unit cell a=4.6128 b=4.6128 c=16.3280 alpha=90.00 beta=90.00 gamma=120.00
Space group R-3 (No. 148, hexagonal axes)
Inequivalent atoms, fractional coordinates:
Sm 0.0000 0.0000 0.0000 x3
Ni 0.0000 0.0000 0.5000 x3
H 0.0000 0.0000 0.3126 x6
H 0.0026 0.3742 0.7833 x18
Rh 0.0000 0.0000 0.2107 x6

Peak list (6 most intense, 10° ≤ 2θ ≤ 80°, low angle first)
2θ (°), Rel. int., hkl
22.92, 36, 1 0 1
31.33, 100, 1 0 4
35.51, 51, 0 1 5
39.05, 91, 1 1 0
50.90, 25, 0 2 4
65.97, 23, 2 1 4